Diffraction record for Li4Mn3O6F. The X-ray powder pattern is calculated, not measured: it uses a crystal structure in Alexandria, relaxed with PBE+U and λ = 1.5418 Å (Cu Kα).
Peak positions follow from Bragg's law for the DFT cell and can differ from measured ones.

Structural model:
```
data_Li4Mn3O6F
_space_group_name_H-M_alt 'C 1 2/m 1'
_space_group_IT_number 12
_cell_length_a 9.2753
_cell_length_b 4.4326
_cell_length_c 6.4732
_cell_angle_alpha 90.00
_cell_angle_beta 98.10
_cell_angle_gamma 90.00
loop_
_space_group_symop_operation_xyz
'x,y,z'
'-x,-y,-z'
'-x,y,-z'
'x,-y,z'
'x+1/2,y+1/2,z'
'-x+1/2,-y+1/2,-z'
'-x+1/2,y+1/2,-z'
'x+1/2,-y+1/2,z'
loop_
_atom_site_label
_atom_site_fract_x
_atom_site_fract_y
_atom_site_fract_z
Li1 0.0747 0.0000 0.2120
Li2 0.2191 0.0000 0.6389
Mn1 0.0000 0.5000 0.5000
Mn2 0.1456 0.5000 0.9270
O1 0.0572 0.5000 0.2104
O2 0.1570 0.0000 0.9400
O3 0.1992 0.5000 0.6389
F1 0.0000 0.0000 0.5000
```

Largest 6 diffraction maxima, sorted by position, 10 to 90 degrees two-theta:
2θ (°), I_rel, (hkl)
22.23, 100, 2 0 -1
27.84, 19, 0 0 2
40.71, 40, 0 2 0
43.72, 30, 4 0 1
44.17, 30, 2 0 -3
61.62, 19, 2 2 -3